For Na3TlAu2, a structure optimized by DFT (GGA-PBE) gives the computed powder X-ray diffraction pattern in this record (CuKα).

Structural model:
Cell lengths 9.067, 9.067, 9.511 Å; angles 90.00, 90.00, 116.71 degrees
Atoms (fractional coordinates):
Na 0.070 0.327 0.537
Na 0.152 0.848 0.786
Na 0.173 0.430 0.963
Na 0.327 0.070 0.463
Na 0.348 0.652 0.286
Na 0.430 0.173 0.037
Na 0.570 0.827 0.963
Na 0.652 0.348 0.714
Na 0.673 0.930 0.537
Na 0.827 0.570 0.037
Na 0.848 0.152 0.214
Na 0.930 0.673 0.463
Tl 0.054 0.946 0.156
Tl 0.446 0.554 0.656
Tl 0.554 0.446 0.344
Tl 0.946 0.054 0.844
Au 0.221 0.279 0.250
Au 0.230 0.770 0.058
Au 0.270 0.730 0.558
Au 0.279 0.221 0.750
Au 0.721 0.779 0.250
Au 0.730 0.270 0.442
Au 0.770 0.230 0.942
Au 0.779 0.721 0.750

Most intense lines, 2θ = 15–90°, low angle first:
| d_spacing | 2θ (°) | Rel. int. |
| --- | --- | --- |
| 4.101 | 21.7 | 33 |
| 4.049 | 22.0 | 100 |
| 2.858 | 31.3 | 32 |
| 2.536 | 35.4 | 30 |
| 2.202 | 41.0 | 32 |
| 2.051 | 44.2 | 42 |

---

For NaTl3Au2, a structure optimized by DFT (GGA-PBE) gives the computed powder X-ray diffraction pattern in this record (CuKα).

Structural model:
Cell lengths 8.946, 8.946, 8.946 Å; angles 149.55, 118.30, 70.36 degrees
Atoms (fractional coordinates):
Na 0.123 0.123 0.000
Na 0.877 0.877 0.000
Tl 0.127 0.325 0.802
Tl 0.335 0.000 0.335
Tl 0.477 0.675 0.802
Tl 0.523 0.325 0.198
Tl 0.665 0.000 0.665
Tl 0.873 0.675 0.198
Au 0.148 0.500 0.648
Au 0.295 0.795 0.500
Au 0.705 0.205 0.500
Au 0.852 0.500 0.352

Most intense lines, 2θ = 15–90°, low angle first:
| d_spacing | 2θ (°) | Rel. int. |
| --- | --- | --- |
| 4.305 | 20.6 | 29 |
| 2.753 | 32.5 | 35 |
| 2.723 | 32.9 | 66 |
| 2.419 | 37.2 | 100 |
| 2.350 | 38.3 | 43 |
| 2.186 | 41.3 | 34 |

---

For NaZn2Au2, a structure optimized by DFT (GGA-PBE) gives the computed powder X-ray diffraction pattern in this record (CuKα).

Structural model:
Cell lengths 6.878, 6.878, 6.878 Å; angles 146.25, 146.25, 48.47 degrees
Atoms (fractional coordinates):
Na 0.000 0.000 0.000
Zn 0.250 0.750 0.500
Zn 0.750 0.250 0.500
Au 0.390 0.390 0.000
Au 0.610 0.610 0.000

Most intense lines, 2θ = 15–90°, low angle first:
| d_spacing | 2θ (°) | Rel. int. |
| --- | --- | --- |
| 3.804 | 23.4 | 100 |
| 2.887 | 31.0 | 30 |
| 2.574 | 34.9 | 28 |
| 2.124 | 42.6 | 44 |
| 2.098 | 43.1 | 62 |
| 1.996 | 45.4 | 36 |

---

For Na3Zn4Au2, a structure optimized by DFT (GGA-PBE) gives the computed powder X-ray diffraction pattern in this record (CuKα).

Structural model:
Cell lengths 5.832, 5.832, 8.566 Å; angles 105.20, 105.20, 45.01 degrees
Atoms (fractional coordinates):
Na 0.000 0.000 0.000
Na 0.394 0.394 0.635
Na 0.606 0.606 0.365
Zn 0.102 0.102 0.620
Zn 0.267 0.267 0.924
Zn 0.733 0.733 0.076
Zn 0.898 0.898 0.380
Au 0.291 0.291 0.243
Au 0.709 0.709 0.757

Most intense lines, 2θ = 15–90°, low angle first:
| d_spacing | 2θ (°) | Rel. int. |
| --- | --- | --- |
| 5.166 | 17.2 | 100 |
| 5.070 | 17.5 | 89 |
| 3.780 | 23.5 | 44 |
| 2.405 | 37.4 | 50 |
| 2.233 | 40.4 | 41 |
| 2.167 | 41.7 | 61 |

---

Please write out number 4 again, unchanged.
For Na3Zn4Au2, a structure optimized by DFT (GGA-PBE) gives the computed powder X-ray diffraction pattern in this record (CuKα).

Structural model:
Cell lengths 5.832, 5.832, 8.566 Å; angles 105.20, 105.20, 45.01 degrees
Atoms (fractional coordinates):
Na 0.000 0.000 0.000
Na 0.394 0.394 0.635
Na 0.606 0.606 0.365
Zn 0.102 0.102 0.620
Zn 0.267 0.267 0.924
Zn 0.733 0.733 0.076
Zn 0.898 0.898 0.380
Au 0.291 0.291 0.243
Au 0.709 0.709 0.757

Most intense lines, 2θ = 15–90°, low angle first:
| d_spacing | 2θ (°) | Rel. int. |
| --- | --- | --- |
| 5.166 | 17.2 | 100 |
| 5.070 | 17.5 | 89 |
| 3.780 | 23.5 | 44 |
| 2.405 | 37.4 | 50 |
| 2.233 | 40.4 | 41 |
| 2.167 | 41.7 | 61 |

---

What did the fourth record say?
For Na3Zn4Au2, a structure optimized by DFT (GGA-PBE) gives the computed powder X-ray diffraction pattern in this record (CuKα).

Structural model:
Cell lengths 5.832, 5.832, 8.566 Å; angles 105.20, 105.20, 45.01 degrees
Atoms (fractional coordinates):
Na 0.000 0.000 0.000
Na 0.394 0.394 0.635
Na 0.606 0.606 0.365
Zn 0.102 0.102 0.620
Zn 0.267 0.267 0.924
Zn 0.733 0.733 0.076
Zn 0.898 0.898 0.380
Au 0.291 0.291 0.243
Au 0.709 0.709 0.757

Most intense lines, 2θ = 15–90°, low angle first:
| d_spacing | 2θ (°) | Rel. int. |
| --- | --- | --- |
| 5.166 | 17.2 | 100 |
| 5.070 | 17.5 | 89 |
| 3.780 | 23.5 | 44 |
| 2.405 | 37.4 | 50 |
| 2.233 | 40.4 | 41 |
| 2.167 | 41.7 | 61 |